Diffraction record for BeCuI4. The XRD peak list is simulated, not measured: it uses a crystal structure in Alexandria, relaxed with PBE and CuKα.

Structural model:
```
BeCuI4
1.0
7.4801 0.0000 0.0000
0.0000 7.4801 0.0000
0.0000 0.0000 10.0757
Be Cu I
2 2 8
direct
0.0000 0.5000 0.0000
0.5000 0.0000 0.5000
0.0000 0.0000 0.0000
0.0000 0.0000 0.5000
0.2346 0.2600 0.0000
0.2346 0.7400 0.0000
0.2600 0.2346 0.5000
0.2600 0.7654 0.5000
0.7400 0.2346 0.5000
0.7400 0.7654 0.5000
0.7654 0.2600 0.0000
0.7654 0.7400 0.0000
```

Main lines, by intensity (2θ = 10–90°):
| (hkl) | 2theta | I/Imax |
| --- | --- | --- |
| 0 0 2 | 17.6 | 100 |
| 2 0 2 | 29.8 | 57 |
| 2 2 2 | 38.4 | 52 |
| 2 0 0 | 23.8 | 51 |
| 2 2 0 | 33.9 | 37 |
| 2 2 4 | 50.0 | 24 |
| 2 0 4 | 43.3 | 20 |
| 4 0 2 | 52.2 | 20 |
| 0 0 4 | 35.6 | 17 |
| 4 2 2 | 58.1 | 15 |